Structure and simulated PXRD pattern of Ho8Tl2Rh3 (a DFT-relaxed cell (GGA-PBE, Alexandria); CuKα).
Lines closer than 0.1° are merged.

Peak list (6 most intense, 2θ from 10° to 90°, sorted by position)
Position (°2θ)	d [Å]	I/Imax
29.31	3.048	44
31.19	2.867	63
32.00	2.797	55
32.12	2.787	73
34.72	2.584	100
49.11	1.855	48

```
Ho8Tl2Rh3
1.0
7.941 -3.684 0.000
7.941 3.684 0.000
-1.126 0.000 6.374
Ho Tl Rh
8 2 3
Direct
0.082 0.082 0.360
0.146 0.646 0.127
0.354 0.854 0.873
0.364 0.364 0.626
0.636 0.636 0.374
0.646 0.146 0.127
0.854 0.354 0.873
0.918 0.918 0.640
0.242 0.242 0.163
0.758 0.758 0.837
0.298 0.702 0.500
0.500 0.500 0.000
0.702 0.298 0.500
```

***

Structure and simulated PXRD pattern of Ho4Tl2Rh (a DFT-relaxed cell (GGA-PBE, Alexandria); CuKα).
Lines closer than 0.1° are merged.

Peak list (6 most intense, 2θ from 10° to 90°, sorted by position)
Position (°2θ)	d [Å]	I/Imax
28.25	3.159	71
31.98	2.799	58
32.22	2.778	100
34.55	2.596	57
35.10	2.556	47
40.42	2.232	48

```
Ho4Tl2Rh
1.0
6.526 0.000 0.000
0.000 3.699 0.000
-3.129 0.000 8.395
Ho Tl Rh
4 2 1
Direct
0.120 0.000 0.257
0.333 0.500 0.652
0.667 0.500 0.348
0.880 0.000 0.743
0.262 0.500 0.999
0.738 0.500 0.001
0.500 0.000 0.500
```

***

Structure and simulated PXRD pattern of Ho12TlRh6 (a DFT-relaxed cell (GGA-PBE, Alexandria); CuKα).
Lines closer than 0.1° are merged.

Peak list (6 most intense, 2θ from 10° to 90°, sorted by position)
Position (°2θ)	d [Å]	I/Imax
28.70	3.111	18
31.50	2.840	35
34.10	2.629	100
47.10	1.929	23
54.38	1.687	23
57.77	1.596	32

```
Ho12TlRh6
1.0
-4.919 4.919 4.919
4.919 -4.919 4.919
4.919 4.919 -4.919
Ho Tl Rh
12 1 6
Direct
0.110 0.810 0.300
0.190 0.300 0.490
0.190 0.700 0.890
0.300 0.110 0.810
0.300 0.490 0.190
0.490 0.190 0.300
0.510 0.810 0.700
0.700 0.510 0.810
0.700 0.890 0.190
0.810 0.300 0.110
0.810 0.700 0.510
0.890 0.190 0.700
0.000 0.000 0.000
0.130 0.630 0.500
0.370 0.500 0.870
0.500 0.130 0.630
0.500 0.870 0.370
0.630 0.500 0.130
0.870 0.370 0.500
```

***

Q: Number 1 is which compound?
A: Ho8Tl2Rh3